Entry 1:
# Tb3ScC2S2
Calculated powder diffraction line list, Cu Ka. Input: a structure optimized by DFT (PBE).
Lines closer than 0.1° are merged.

Atomic structure:
Unit cell a=3.662 b=3.662 c=12.740 alpha=90.00 beta=90.00 gamma=120.00
Element x y z (fractional)
Tb1 0.000 0.000 0.000
Tb2 0.000 0.000 0.299
Tb3 0.333 0.667 0.785
Sc1 0.333 0.667 0.500
C1 0.667 0.333 0.404
C2 0.667 0.333 0.892
S1 0.000 0.000 0.633
S2 0.333 0.667 0.149

Most intense lines, 5 to 70 degrees two-theta, low angle first:
2θ = 6.94°, I = 25; 2θ = 28.13°, I = 33; 2θ = 29.01°, I = 40; 2θ = 35.32°, I = 100; 2θ = 49.79°, I = 29; 2θ = 62.51°, I = 20



Entry 2:
# Th3Cd4Hg2
Calculated powder diffraction line list, Cu Ka. Input: a structure optimized by DFT (PBE).
Lines closer than 0.1° are merged.

Atomic structure:
Unit cell a=7.583 b=7.583 c=4.679 alpha=90.00 beta=90.00 gamma=120.00
Element x y z (fractional)
Th1 0.000 0.567 0.000
Th2 0.433 0.433 0.000
Th3 0.567 0.000 0.000
Cd1 0.000 0.000 0.000
Cd2 0.000 0.240 0.500
Cd3 0.240 0.000 0.500
Cd4 0.760 0.760 0.500
Hg1 0.333 0.667 0.500
Hg2 0.667 0.333 0.500

Most intense lines, 5 to 70 degrees two-theta, low angle first:
2θ = 30.34°, I = 72; 2θ = 33.33°, I = 100; 2θ = 36.19°, I = 35; 2θ = 38.48°, I = 29; 2θ = 41.20°, I = 27; 2θ = 53.85°, I = 22



Entry 3:
# CsTm2Cu3Se5
Calculated powder diffraction line list, Cu Ka. Input: a structure optimized by DFT (PBE).
Lines closer than 0.1° are merged.

Atomic structure:
Unit cell a=7.618 b=7.618 c=17.224 alpha=90.00 beta=90.00 gamma=148.74
Element x y z (fractional)
Cs1 0.061 0.939 0.750
Cs2 0.939 0.061 0.250
Tm1 0.192 0.808 0.092
Tm2 0.192 0.808 0.408
Tm3 0.808 0.192 0.592
Tm4 0.808 0.192 0.908
Cu1 0.345 0.655 0.750
Cu2 0.417 0.583 0.033
Cu3 0.417 0.583 0.467
Cu4 0.583 0.417 0.533
Cu5 0.583 0.417 0.967
Cu6 0.655 0.345 0.250
Se1 0.170 0.830 0.570
Se2 0.170 0.830 0.930
Se3 0.238 0.762 0.250
Se4 0.437 0.563 0.612
Se5 0.437 0.563 0.888
Se6 0.563 0.437 0.112
Se7 0.563 0.437 0.388
Se8 0.762 0.238 0.750
Se9 0.830 0.170 0.070
Se10 0.830 0.170 0.430

Most intense lines, 5 to 70 degrees two-theta, low angle first:
2θ = 28.38°, I = 68; 2θ = 28.86°, I = 100; 2θ = 30.26°, I = 75; 2θ = 31.16°, I = 91; 2θ = 44.12°, I = 67; 2θ = 46.89°, I = 74



Entry 4:
# DyHo2Mg3CdGa2
Calculated powder diffraction line list, Cu Ka. Input: a structure optimized by DFT (PBE).
Lines closer than 0.1° are merged.

Atomic structure:
Unit cell a=4.455 b=7.354 c=7.354 alpha=120.10 beta=90.00 gamma=90.00
Element x y z (fractional)
Dy1 0.000 0.000 0.000
Ho1 0.000 0.137 0.568
Ho2 0.000 0.568 0.137
Mg1 0.500 0.319 0.319
Mg2 0.500 0.568 0.818
Mg3 0.500 0.818 0.568
Cd1 0.000 0.567 0.567
Ga1 0.500 0.235 0.901
Ga2 0.500 0.901 0.235

Most intense lines, 5 to 70 degrees two-theta, low angle first:
2θ = 19.93°, I = 27; 2θ = 28.03°, I = 38; 2θ = 31.56°, I = 49; 2θ = 34.64°, I = 100; 2θ = 40.49°, I = 21; 2θ = 56.03°, I = 22



Entry 5:
# CsSrZn
Calculated powder diffraction line list, Cu Ka. Input: a structure optimized by DFT (PBE).
Lines closer than 0.1° are merged.

Atomic structure:
Unit cell a=6.076 b=6.076 c=6.076 alpha=60.00 beta=60.00 gamma=60.00
Element x y z (fractional)
Cs1 0.000 0.000 0.000
Sr1 0.250 0.250 0.250
Zn1 0.500 0.500 0.500

Most intense lines, 5 to 70 degrees two-theta, low angle first:
2θ = 17.88°, I = 30; 2θ = 20.67°, I = 18; 2θ = 29.40°, I = 100; 2θ = 34.62°, I = 17; 2θ = 42.06°, I = 19; 2θ = 52.15°, I = 39



Entry 6:
# Tb4B5
Calculated powder diffraction line list, Cu Ka. Input: a structure optimized by DFT (PBE).
Lines closer than 0.1° are merged.

Atomic structure:
Unit cell a=5.793 b=14.856 c=3.832 alpha=90.00 beta=90.00 gamma=90.00
Element x y z (fractional)
Tb1 0.179 0.171 0.000
Tb2 0.238 0.448 0.500
Tb3 0.262 0.948 0.500
Tb4 0.321 0.671 0.000
Tb5 0.679 0.329 0.000
Tb6 0.738 0.052 0.500
Tb7 0.762 0.552 0.500
Tb8 0.821 0.829 0.000
B1 0.000 0.000 0.000
B2 0.038 0.285 0.500
B3 0.180 0.779 0.500
B4 0.320 0.279 0.500
B5 0.462 0.785 0.500
B6 0.500 0.500 0.000
B7 0.538 0.215 0.500
B8 0.680 0.721 0.500
B9 0.820 0.221 0.500
B10 0.962 0.715 0.500

Most intense lines, 5 to 70 degrees two-theta, low angle first:
2θ = 26.17°, I = 56; 2θ = 28.55°, I = 99; 2θ = 30.45°, I = 100; 2θ = 30.87°, I = 31; 2θ = 40.90°, I = 32; 2θ = 56.32°, I = 28



Question: Which formula does entry 4 have?
Answer: DyHo2Mg3CdGa2



Please write out number 1 again, unchanged.
# Tb3ScC2S2
Calculated powder diffraction line list, Cu Ka. Input: a structure optimized by DFT (PBE).
Lines closer than 0.1° are merged.

Atomic structure:
Unit cell a=3.662 b=3.662 c=12.740 alpha=90.00 beta=90.00 gamma=120.00
Element x y z (fractional)
Tb1 0.000 0.000 0.000
Tb2 0.000 0.000 0.299
Tb3 0.333 0.667 0.785
Sc1 0.333 0.667 0.500
C1 0.667 0.333 0.404
C2 0.667 0.333 0.892
S1 0.000 0.000 0.633
S2 0.333 0.667 0.149

Most intense lines, 5 to 70 degrees two-theta, low angle first:
2θ = 6.94°, I = 25; 2θ = 28.13°, I = 33; 2θ = 29.01°, I = 40; 2θ = 35.32°, I = 100; 2θ = 49.79°, I = 29; 2θ = 62.51°, I = 20